1.
NaCr6O11: calculated powder diffractogram (Cu Kα X-rays), based on a crystal structure in the Materials Project, relaxed with PBE+U.
Lines closer than 0.1° are merged.

Largest 10 diffraction maxima, low angle first, 10 to 90 degrees two-theta:
Position (°2θ), d/Å, Rel. int.
13.62, 6.500, 25.1
22.31, 3.985, 25.7
30.70, 2.912, 22.3
32.78, 2.732, 76.3
33.73, 2.658, 54.2
35.60, 2.522, 21.0
38.28, 2.351, 45.4
41.43, 2.180, 21.2
55.94, 1.644, 100.0
63.94, 1.456, 39.6

Structure:
```
NaCr6O11
1.0
5.8241 0.0000 0.0000
-2.9121 5.0439 0.0000
0.0000 0.0000 12.9997
Na Cr O
2 12 22
direct
0.3333 0.6667 0.2500
0.6667 0.3333 0.7500
0.0000 0.0000 0.1458
0.0000 0.0000 0.3542
0.0000 0.0000 0.6458
0.0000 0.0000 0.8542
0.0000 0.5000 0.0000
0.0000 0.5000 0.5000
0.3333 0.6667 0.7500
0.5000 0.0000 0.0000
0.5000 0.0000 0.5000
0.5000 0.5000 0.0000
0.5000 0.5000 0.5000
0.6667 0.3333 0.2500
0.1543 0.3086 0.7500
0.1543 0.8457 0.7500
0.1755 0.3510 0.0776
0.1755 0.3510 0.4224
0.1755 0.8245 0.0776
0.1755 0.8245 0.4224
0.3086 0.1543 0.2500
0.3333 0.6667 0.5869
0.3333 0.6667 0.9131
0.3510 0.1755 0.5776
0.3510 0.1755 0.9224
0.6490 0.8245 0.0776
0.6490 0.8245 0.4224
0.6667 0.3333 0.0869
0.6667 0.3333 0.4131
0.6914 0.8457 0.7500
0.8245 0.1755 0.5776
0.8245 0.1755 0.9224
0.8245 0.6490 0.5776
0.8245 0.6490 0.9224
0.8457 0.1543 0.2500
0.8457 0.6914 0.2500
```

2.
Rb2Pr2MgW4O16: calculated powder diffractogram (Cu Kα X-rays), based on a crystal structure in the Materials Project, relaxed with PBE+U.
Lines closer than 0.1° are merged.

Largest 10 diffraction maxima, low angle first, 10 to 90 degrees two-theta:
Position (°2θ), d/Å, Rel. int.
24.81, 3.589, 58.8
25.61, 3.478, 52.5
26.74, 3.333, 42.4
27.14, 3.285, 93.1
28.44, 3.139, 94.8
28.88, 3.091, 100.0
30.67, 2.915, 57.9
30.84, 2.899, 60.9
31.60, 2.831, 41.6
32.78, 2.732, 41.5

Structure:
```
Rb2Pr2MgW4O16
1.0
7.5864 0.0000 0.0000
3.5942 6.7266 0.0000
3.7442 -1.5720 7.1770
Rb Pr Mg W O
2 2 1 4 16
direct
0.0000 0.0000 0.0000
0.3936 0.4965 0.7428
0.4459 0.0194 0.0773
0.9184 0.5147 0.6768
0.5697 0.2583 0.3580
0.3657 0.5856 0.1903
0.4853 0.9576 0.5578
0.8709 0.5601 0.2057
0.9825 0.9635 0.5584
0.0613 0.2952 0.1995
0.1052 0.6310 0.1466
0.1454 0.6424 0.4622
0.1976 0.9072 0.2889
0.2342 0.8943 0.6078
0.3004 0.2450 0.5459
0.4002 0.0038 0.8065
0.4957 0.2854 0.1479
0.5307 0.6377 0.9637
0.6164 0.4954 0.2724
0.6265 0.8740 0.2707
0.7305 0.6485 0.4890
0.7359 0.0446 0.4817
0.8173 0.8987 0.7785
0.8647 0.2353 0.6383
0.9326 0.5457 0.9607
```

3.
Li5V5Co2O12: calculated powder diffractogram (Cu Kα X-rays), based on a crystal structure in the Materials Project, relaxed with PBE+U.
Lines closer than 0.1° are merged.

Largest 10 diffraction maxima, low angle first, 10 to 90 degrees two-theta:
Position (°2θ), d/Å, Rel. int.
18.22, 4.870, 40.2
19.78, 4.488, 22.4
23.19, 3.835, 35.0
31.60, 2.831, 14.3
36.76, 2.445, 28.7
42.63, 2.121, 49.9
42.80, 2.113, 100.0
61.89, 1.499, 27.4
62.09, 1.495, 40.2
78.18, 1.223, 18.4

Structure:
```
Li5V5Co2O12
1.0
2.5983 -4.4885 0.0000
2.5983 4.4885 0.0000
-1.6991 0.0000 9.7399
Li V Co O
5 5 2 12
direct
0.0000 0.0000 0.0000
0.2438 0.2600 0.7624
0.3975 0.0704 0.2359
0.7400 0.7562 0.2376
0.9296 0.6025 0.7641
0.0768 0.4064 0.2411
0.1626 0.8374 0.5000
0.5028 0.4972 0.5000
0.5936 0.9232 0.7589
0.6560 0.3440 0.0000
0.3257 0.6743 0.0000
0.8323 0.1677 0.5000
0.0218 0.6845 0.1217
0.1376 0.1387 0.3815
0.2268 0.5604 0.6191
0.3155 0.9782 0.8783
0.3638 0.3849 0.1254
0.4396 0.7732 0.3809
0.5239 0.1904 0.6178
0.6151 0.6362 0.8746
0.7132 0.0728 0.1285
0.8096 0.4761 0.3822
0.8613 0.8624 0.6185
0.9272 0.2868 0.8715
```

4.
InAgMo2O8: calculated powder diffractogram (Cu Kα X-rays), based on a crystal structure in the Materials Project, relaxed with PBE+U.
Lines closer than 0.1° are merged.

Largest 10 diffraction maxima, low angle first, 10 to 90 degrees two-theta:
Position (°2θ), d/Å, Rel. int.
28.20, 3.164, 29.5
28.47, 3.135, 100.0
28.76, 3.104, 95.6
35.16, 2.552, 19.9
35.65, 2.518, 18.9
45.67, 1.986, 18.7
46.06, 1.971, 18.3
50.60, 1.804, 16.7
58.91, 1.568, 18.1
59.56, 1.552, 21.7

Structure:
```
InAgMo2O8
1.0
3.5622 -18.9864 0.0000
3.5622 18.9864 0.0000
-3.5144 0.0000 3.6089
In Ag Mo O
3 3 6 24
direct
0.0000 0.0000 0.0000
0.3949 0.6051 0.5000
0.7459 0.2541 0.5000
0.5803 0.4197 0.5000
0.6487 0.3513 0.0000
0.8205 0.1795 0.0000
0.0687 0.9313 0.5000
0.1680 0.8320 0.0000
0.2257 0.7743 0.5000
0.3219 0.6781 0.0000
0.4747 0.5253 0.0000
0.9187 0.0813 0.5000
0.0235 0.5108 0.4289
0.0340 0.4416 0.8785
0.0400 0.2597 0.8908
0.1496 0.2239 0.8976
0.1978 0.1143 0.9134
0.2100 0.5113 0.6031
0.2445 0.3848 0.6031
0.3415 0.1512 0.5991
0.3508 0.3455 0.6108
0.3703 0.0934 0.0906
0.3746 0.0057 0.4928
0.4374 0.0070 0.0235
0.4887 0.7900 0.3969
0.4892 0.9765 0.5711
0.5584 0.9660 0.1215
0.6152 0.7555 0.3969
0.6545 0.6492 0.3892
0.7403 0.9600 0.1092
0.7761 0.8504 0.1024
0.8488 0.6585 0.4009
0.8857 0.8022 0.0866
0.9066 0.6297 0.9094
0.9930 0.5626 0.9765
0.9943 0.6254 0.5072
```

5.
Li4Mn8O13F3: calculated powder diffractogram (Cu Kα X-rays), based on a crystal structure in the Materials Project, relaxed with PBE+U.
Lines closer than 0.1° are merged.

Largest 10 diffraction maxima, low angle first, 10 to 90 degrees two-theta:
Position (°2θ), d/Å, Rel. int.
17.78, 4.988, 100.0
17.99, 4.930, 52.1
18.34, 4.837, 54.1
34.10, 2.629, 20.0
34.92, 2.569, 20.0
41.39, 2.182, 43.9
42.19, 2.142, 40.8
43.29, 2.090, 37.6
60.20, 1.537, 13.2
60.96, 1.520, 23.5

Structure:
```
Li4Mn8O13F3
1.0
5.9920 0.0000 0.0000
2.9939 5.2935 0.0000
2.4788 1.8636 9.8594
Li Mn O F
4 8 13 3
direct
0.0000 0.0000 0.0000
0.0336 0.1821 0.6132
0.4986 0.4987 0.4990
0.5520 0.6773 0.1167
0.0122 0.1009 0.3027
0.0127 0.5866 0.3017
0.0166 0.5924 0.8062
0.2539 0.3520 0.0585
0.5174 0.0898 0.3058
0.5168 0.0924 0.8072
0.5168 0.5912 0.8070
0.7687 0.8349 0.5563
0.1250 0.2420 0.4091
0.1758 0.2395 0.9216
0.1783 0.6710 0.9204
0.3482 0.4605 0.1914
0.3551 0.0189 0.1901
0.4229 0.4367 0.7020
0.6110 0.7472 0.9105
0.6809 0.1589 0.4236
0.6880 0.7195 0.4224
0.8553 0.5141 0.6907
0.8559 0.9455 0.6903
0.8888 0.4912 0.1898
0.9104 0.9391 0.2046
0.1611 0.6855 0.4284
0.3717 0.9775 0.6692
0.6622 0.2074 0.9426
```

6.
Sr3Mn2Cu2S2O5: calculated powder diffractogram (Cu Kα X-rays), based on a crystal structure in the Materials Project, relaxed with PBE+U.
Lines closer than 0.1° are merged.

Largest 10 diffraction maxima, low angle first, 10 to 90 degrees two-theta:
Position (°2θ), d/Å, Rel. int.
25.90, 3.440, 7.2
32.25, 2.775, 100.0
32.96, 2.718, 17.1
34.89, 2.571, 12.1
37.92, 2.373, 33.1
46.32, 1.960, 37.6
57.52, 1.602, 53.9
67.58, 1.386, 11.1
76.88, 1.240, 9.2
80.20, 1.197, 6.3

Structure:
```
Sr3Mn2Cu2S2O5
1.0
-1.9603 1.9603 13.7603
1.9603 -1.9603 13.7603
1.9603 1.9603 -13.7603
Sr Mn Cu S O
3 2 2 2 5
direct
0.0000 0.0000 0.0000
0.1402 0.1402 0.0000
0.2808 0.2808 0.0000
0.5671 0.5671 0.0000
0.7136 0.7136 0.0000
0.3904 0.8904 0.5000
0.8904 0.3904 0.5000
0.4411 0.4411 0.0000
0.8397 0.8397 0.0000
0.0566 0.5566 0.5000
0.2242 0.7242 0.5000
0.5566 0.0566 0.5000
0.6403 0.6403 0.0000
0.7242 0.2242 0.5000
```

7.
MgCo4O8: calculated powder diffractogram (Cu Kα X-rays), based on a crystal structure in the Materials Project, relaxed with PBE+U.
Lines closer than 0.1° are merged.

Largest 10 diffraction maxima, low angle first, 10 to 90 degrees two-theta:
Position (°2θ), d/Å, Rel. int.
18.39, 4.825, 45.0
18.54, 4.786, 34.6
18.66, 4.756, 39.8
18.79, 4.722, 100.0
34.70, 2.585, 14.8
42.10, 2.146, 56.0
44.22, 2.048, 46.4
45.08, 2.011, 45.5
62.63, 1.483, 14.4
64.99, 1.435, 26.7

Structure:
```
MgCo4O8
1.0
5.7397 0.0000 0.0000
-0.1045 5.7434 0.0000
-2.7895 -2.7710 4.2924
Mg Co O
1 4 8
direct
0.0000 0.0000 0.0000
0.0016 0.4991 0.5037
0.5014 0.9998 0.0032
0.5014 0.4985 0.5030
0.5025 0.5008 0.0042
0.2339 0.7333 0.9423
0.2492 0.2813 0.5093
0.2634 0.7038 0.5019
0.2861 0.2427 0.0122
0.7177 0.7572 0.9945
0.7398 0.2939 0.5052
0.7534 0.7167 0.4969
0.7689 0.2665 0.0645
```

8.
MgV4O8F4: calculated powder diffractogram (Cu Kα X-rays), based on a crystal structure in the Materials Project, relaxed with PBE+U.
Lines closer than 0.1° are merged.

Largest 10 diffraction maxima, low angle first, 10 to 90 degrees two-theta:
Position (°2θ), d/Å, Rel. int.
23.18, 3.838, 100.0
23.56, 3.776, 94.8
24.88, 3.579, 96.5
32.75, 2.734, 20.4
33.55, 2.671, 19.6
33.69, 2.660, 26.1
39.45, 2.284, 19.0
47.38, 1.919, 23.5
48.20, 1.888, 23.6
51.04, 1.789, 19.6

Structure:
```
MgV4O8F4
1.0
5.0669 0.0000 0.0000
2.3930 4.5788 0.0000
2.1008 1.2547 8.9634
Mg V O F
1 4 8 4
direct
0.0000 0.0000 0.0000
0.1484 0.1274 0.5644
0.3988 0.4286 0.7944
0.7259 0.5930 0.0563
0.9065 0.8177 0.3314
0.0286 0.6426 0.9273
0.0894 0.9141 0.4282
0.1936 0.3199 0.6754
0.3732 0.7375 0.6745
0.6461 0.4051 0.9327
0.7146 0.8612 0.1660
0.8984 0.2768 0.1644
0.9293 0.4921 0.4225
0.2708 0.6948 0.1697
0.3843 0.0308 0.9275
0.5232 0.0831 0.4203
0.7735 0.1383 0.6876
```